Sr2VW: calculated powder XRD pattern (Cu Kα X-rays), based on DFT lattice parameters and positions (GGA-PBE).
Neutral-atom scattering factors, no anomalous dispersion.

Most intense lines, 2θ from 5° to 70°, in order of rising 2θ:
2θ (°)  d/Å  intensity
20.0  4.448  22
23.1  3.852  2
32.9  2.724  100
38.8  2.323  13
47.2  1.926  18
51.7  1.768  6
53.2  1.723  1
58.7  1.573  37
62.7  1.483  5
68.9  1.362  11

Crystal structure
Cell lengths 5.4482, 5.4482, 5.4482 Å; angles 60.00, 60.00, 60.00 degrees
Element x y z (fractional)
Sr (0.2500, 0.2500, 0.2500)
Sr (0.7500, 0.7500, 0.7500)
V (0.0000, 0.0000, 0.0000)
W (0.5000, 0.5000, 0.5000)

Sr3W: calculated powder XRD pattern (Cu Kα X-rays), based on DFT lattice parameters and positions (GGA-PBE).
Neutral-atom scattering factors, no anomalous dispersion.

Most intense lines, 2θ from 5° to 70°, in order of rising 2θ:
2θ (°)  d/Å  intensity
18.6  4.767  9
21.5  4.128  5
30.6  2.919  100
36.1  2.490  6
43.9  2.064  19
48.0  1.894  3
49.4  1.846  2
54.4  1.685  39
58.0  1.589  2
63.8  1.460  12

Crystal structure
Cell lengths 5.8385, 5.8385, 5.8385 Å; angles 60.00, 60.00, 60.00 degrees
Element x y z (fractional)
Sr (0.0000, 0.0000, 0.0000)
Sr (0.2500, 0.2500, 0.2500)
Sr (0.7500, 0.7500, 0.7500)
W (0.5000, 0.5000, 0.5000)

SrY: calculated powder XRD pattern (Cu Kα X-rays), based on DFT lattice parameters and positions (GGA-PBE).
Neutral-atom scattering factors, no anomalous dispersion.

Most intense lines, 2θ from 5° to 70°, in order of rising 2θ:
2θ (°)  d/Å  intensity
26.9  3.315  23
28.0  3.190  28
30.4  2.942  100
39.2  2.299  17
47.5  1.914  19
51.0  1.790  23
56.0  1.641  23
57.4  1.604  16
63.2  1.471  4
64.9  1.437  4

Crystal structure
Cell lengths 3.8281, 3.8281, 6.3797 Å; angles 90.00, 90.00, 120.00 degrees
Element x y z (fractional)
Sr (0.0000, 0.0000, 0.0000)
Y (0.6667, 0.3333, 0.5000)

SrZn2: calculated powder XRD pattern (Cu Kα X-rays), based on DFT lattice parameters and positions (GGA-PBE).
Neutral-atom scattering factors, no anomalous dispersion.

Most intense lines, 2θ from 5° to 70°, in order of rising 2θ:
2θ (°)  d/Å  intensity
30.1  2.968  34
34.4  2.606  49
34.9  2.571  11
36.2  2.484  100
36.3  2.473  69
39.7  2.268  18
40.3  2.236  11
56.3  1.635  29
57.5  1.603  26
62.6  1.483  53

Crystal structure
Cell lengths 5.9367, 5.9367, 9.0709 Å; angles 90.00, 90.00, 120.00 degrees
Element x y z (fractional)
Sr (0.3333, 0.6667, 0.0530)
Sr (0.3333, 0.6667, 0.4470)
Sr (0.6667, 0.3333, 0.5530)
Sr (0.6667, 0.3333, 0.9470)
Zn (0.0000, 0.0000, 0.0000)
Zn (0.0000, 0.0000, 0.5000)
Zn (0.1570, 0.3141, 0.7500)
Zn (0.1570, 0.8430, 0.7500)
Zn (0.3141, 0.1570, 0.2500)
Zn (0.6859, 0.8430, 0.7500)
Zn (0.8430, 0.1570, 0.2500)
Zn (0.8430, 0.6859, 0.2500)

SrZn2: calculated powder XRD pattern (Cu Kα X-rays), based on DFT lattice parameters and positions (GGA-PBE).
Neutral-atom scattering factors, no anomalous dispersion.

Most intense lines, 2θ from 5° to 70°, in order of rising 2θ:
2θ (°)  d/Å  intensity
31.7  2.822  100
32.4  2.765  24
36.4  2.468  24
37.6  2.390  30
39.3  2.293  38
50.5  1.808  14
53.4  1.717  16
62.4  1.488  20
64.2  1.450  12
67.5  1.387  10

Crystal structure
Cell lengths 6.0249, 6.0249, 6.0249 Å; angles 133.25, 99.31, 98.80 degrees
Element x y z (fractional)
Sr (0.2989, 0.0489, 0.2500)
Sr (0.7011, 0.9511, 0.7500)
Zn (0.1018, 0.6650, 0.4368)
Zn (0.2719, 0.3350, 0.9368)
Zn (0.7281, 0.6650, 0.0632)
Zn (0.8982, 0.3350, 0.5632)

SrZn: calculated powder XRD pattern (Cu Kα X-rays), based on DFT lattice parameters and positions (GGA-PBE).
Neutral-atom scattering factors, no anomalous dispersion.

Most intense lines, 2θ from 5° to 70°, in order of rising 2θ:
2θ (°)  d/Å  intensity
26.0  3.430  50
28.3  3.159  74
29.8  2.999  61
31.6  2.832  74
34.0  2.638  67
35.7  2.512  100
39.2  2.300  44
50.0  1.825  28
51.8  1.766  35
52.8  1.734  37

Crystal structure
Cell lengths 8.6898, 4.6004, 6.3902 Å; angles 90.00, 90.00, 90.00 degrees
Element x y z (fractional)
Sr (0.1784, 0.2500, 0.1165)
Sr (0.3216, 0.7500, 0.6165)
Sr (0.6784, 0.2500, 0.3835)
Sr (0.8216, 0.7500, 0.8835)
Zn (0.0279, 0.2500, 0.6013)
Zn (0.4721, 0.7500, 0.1013)
Zn (0.5279, 0.2500, 0.8987)
Zn (0.9721, 0.7500, 0.3987)

Sr3Zn: calculated powder XRD pattern (Cu Kα X-rays), based on DFT lattice parameters and positions (GGA-PBE).
Neutral-atom scattering factors, no anomalous dispersion.

Most intense lines, 2θ from 5° to 70°, in order of rising 2θ:
2θ (°)  d/Å  intensity
16.2  5.480  1
23.0  3.875  1
28.2  3.164  100
32.7  2.740  51
46.9  1.937  36
55.6  1.652  43
58.3  1.582  13
68.5  1.370  6

Crystal structure
Cell lengths 5.4799, 5.4799, 5.4799 Å; angles 90.00, 90.00, 90.00 degrees
Element x y z (fractional)
Sr (0.0000, 0.0000, 0.5000)
Sr (0.0000, 0.5000, 0.0000)
Sr (0.5000, 0.0000, 0.0000)
Zn (0.5000, 0.5000, 0.5000)

SrZrZn: calculated powder XRD pattern (Cu Kα X-rays), based on DFT lattice parameters and positions (GGA-PBE).
Neutral-atom scattering factors, no anomalous dispersion.

Most intense lines, 2θ from 5° to 70°, in order of rising 2θ:
2θ (°)  d/Å  intensity
22.1  4.025  35
25.6  3.486  9
36.5  2.465  100
43.0  2.102  17
45.0  2.012  3
52.5  1.743  17
57.6  1.599  7
59.3  1.559  3
65.6  1.423  34

Crystal structure
Cell lengths 4.9294, 4.9294, 4.9294 Å; angles 60.00, 60.00, 60.00 degrees
Element x y z (fractional)
Sr (0.0000, 0.0000, 0.0000)
Zr (0.2500, 0.2500, 0.2500)
Zn (0.5000, 0.5000, 0.5000)

Sr3Zr: calculated powder XRD pattern (Cu Kα X-rays), based on DFT lattice parameters and positions (GGA-PBE).
Neutral-atom scattering factors, no anomalous dispersion.

Most intense lines, 2θ from 5° to 70°, in order of rising 2θ:
2θ (°)  d/Å  intensity
27.9  3.198  100
32.3  2.770  51
46.4  1.958  37
55.0  1.670  44
57.6  1.599  13
67.7  1.385  6

Crystal structure
Cell lengths 5.5392, 5.5392, 5.5392 Å; angles 90.00, 90.00, 90.00 degrees
Element x y z (fractional)
Sr (0.0000, 0.0000, 0.5000)
Sr (0.0000, 0.5000, 0.0000)
Sr (0.5000, 0.0000, 0.0000)
Zr (0.5000, 0.5000, 0.5000)

Sr3Zr: calculated powder XRD pattern (Cu Kα X-rays), based on DFT lattice parameters and positions (GGA-PBE).
Neutral-atom scattering factors, no anomalous dispersion.

Most intense lines, 2θ from 5° to 70°, in order of rising 2θ:
2θ (°)  d/Å  intensity
28.0  3.192  100
32.2  2.776  34
32.7  2.741  17
46.3  1.963  12
46.6  1.950  24
54.9  1.672  29
55.5  1.657  14
57.8  1.596  13
67.5  1.388  4
68.5  1.371  2

Crystal structure
Cell lengths 6.7430, 6.7430, 6.7430 Å; angles 131.38, 131.38, 71.21 degrees
Element x y z (fractional)
Sr (0.0000, 0.0000, 0.0000)
Sr (0.2500, 0.7500, 0.5000)
Sr (0.7500, 0.2500, 0.5000)
Zr (0.5000, 0.5000, 0.0000)

TaTc: calculated powder XRD pattern (Cu Kα X-rays), based on DFT lattice parameters and positions (GGA-PBE).
Neutral-atom scattering factors, no anomalous dispersion.

Most intense lines, 2θ from 5° to 70°, in order of rising 2θ:
2θ (°)  d/Å  intensity
28.0  3.191  10
40.0  2.256  100
49.5  1.842  3
57.8  1.595  17
65.4  1.427  4

Crystal structure
Cell lengths 3.1908, 3.1908, 3.1908 Å; angles 90.00, 90.00, 90.00 degrees
Element x y z (fractional)
Ta (0.0000, 0.0000, 0.0000)
Tc (0.5000, 0.5000, 0.5000)

TaTiTc2: calculated powder XRD pattern (Cu Kα X-rays), based on DFT lattice parameters and positions (GGA-PBE).
Neutral-atom scattering factors, no anomalous dispersion.

Most intense lines, 2θ from 5° to 70°, in order of rising 2θ:
2θ (°)  d/Å  intensity
24.5  3.639  23
40.5  2.229  100
47.9  1.901  12
58.6  1.576  17
64.4  1.446  5

Crystal structure
Cell lengths 4.4574, 4.4574, 4.4574 Å; angles 60.00, 60.00, 60.00 degrees
Element x y z (fractional)
Ta (0.0000, 0.0000, 0.0000)
Ti (0.5000, 0.5000, 0.5000)
Tc (0.2500, 0.2500, 0.2500)
Tc (0.7500, 0.7500, 0.7500)

ZrTaTc2: calculated powder XRD pattern (Cu Kα X-rays), based on DFT lattice parameters and positions (GGA-PBE).
Neutral-atom scattering factors, no anomalous dispersion.

Most intense lines, 2θ from 5° to 70°, in order of rising 2θ:
2θ (°)  d/Å  intensity
23.8  3.741  8
27.5  3.240  3
39.3  2.291  100
46.5  1.954  4
48.7  1.870  1
56.8  1.620  17
62.5  1.486  2
64.3  1.449  1

Crystal structure
Cell lengths 4.5814, 4.5814, 4.5814 Å; angles 60.00, 60.00, 60.00 degrees
Element x y z (fractional)
Zr (0.0000, 0.0000, 0.0000)
Ta (0.5000, 0.5000, 0.5000)
Tc (0.2500, 0.2500, 0.2500)
Tc (0.7500, 0.7500, 0.7500)